Record 1
This entry pairs a crystal structure of Sm4In2Hg3 with its computed PXRD pattern. Radiation: Cu Kα X-rays. Structure: a GGA-PBE-relaxed structure.
Peak positions follow from Bragg's law for the DFT cell and can differ from measured ones.

Cell and atoms:
```
data_Sm4In2Hg3
_space_group_name_H-M_alt 'C 1 2/m 1'
_space_group_IT_number 12
_cell_length_a 10.7207
_cell_length_b 5.0196
_cell_length_c 9.5892
_cell_angle_alpha 90.00
_cell_angle_beta 109.63
_cell_angle_gamma 90.00
loop_
_space_group_symop_operation_xyz
'x,y,z'
'-x,-y,-z'
'-x,y,-z'
'x,-y,z'
'x+1/2,y+1/2,z'
'-x+1/2,-y+1/2,-z'
'-x+1/2,y+1/2,-z'
'x+1/2,-y+1/2,z'
loop_
_atom_site_label
_atom_site_fract_x
_atom_site_fract_y
_atom_site_fract_z
Sm1 0.0550 0.0000 0.3469
Sm2 0.1471 0.5000 0.8924
In1 0.2134 0.5000 0.2564
Hg1 0.0000 0.0000 0.0000
Hg2 0.1422 0.5000 0.5637
```

Main lines, by angle (10° ≤ 2θ ≤ 80°):
(3 1 -1), 30.7°, rel. 24
(3 1 0), 32.0°, rel. 74
(1 1 -3), 33.2°, rel. 100
(0 2 0), 35.8°, rel. 43
(4 0 -3), 38.1°, rel. 21
(2 0 3), 39.7°, rel. 21

Record 2
This entry pairs a crystal structure of Li4LaIn8 with its computed PXRD pattern. Radiation: Cu Kα X-rays. Structure: a GGA-PBE-relaxed structure.
Peak positions follow from Bragg's law for the DFT cell and can differ from measured ones.

Cell and atoms:
```
data_Li4LaIn8
_space_group_name_H-M_alt 'I 4/m m m'
_space_group_IT_number 139
_space_group_name_Hall '-I 4 2'
_cell_length_a 9.9402
_cell_length_b 9.9402
_cell_length_c 5.9227
_cell_angle_alpha 90.00
_cell_angle_beta 90.00
_cell_angle_gamma 90.00
loop_
_atom_site_label
_atom_site_fract_x
_atom_site_fract_y
_atom_site_fract_z
Li1 0.2500 0.2500 0.2500
La1 0.0000 0.0000 0.0000
In1 0.0000 0.2182 0.5000
In2 0.0000 0.3422 0.0000
```

Main lines, by angle (10° ≤ 2θ ≤ 80°):
(2 0 0), 17.8°, rel. 28
(2 2 0), 25.3°, rel. 34
(0 0 2), 30.2°, rel. 57
(3 0 1), 30.9°, rel. 48
(3 2 1), 35.9°, rel. 100
(6 3 1), 64.9°, rel. 29